Starting from a GGA-PBE-relaxed structure, the X-ray diffraction stick pattern of TiI3 was simulated for Cu Kα X-rays.

Top 6 peaks for 10 to 90 degrees two-theta, by intensity:
d_spacing, 2θ (°), I (rel.)
3.206, 27.83, 100
2.573, 34.88, 35
2.038, 44.45, 26
2.049, 44.20, 23
3.734, 23.83, 22
7.469, 11.85, 20

Crystal structure
Lattice parameters (Å, degrees): 7.0982 7.0982 7.4688 90.00 90.00 120.00
Atoms (fractional coordinates):
Ti1 0.3333 0.6667 0.0000
Ti2 0.6667 0.3333 0.0000
I1 0.0000 0.3549 0.7823
I2 0.0000 0.6451 0.2177
I3 0.3549 0.0000 0.7823
I4 0.3549 0.3549 0.2177
I5 0.6451 0.0000 0.2177
I6 0.6451 0.6451 0.7823

=====

Starting from a GGA-PBE-relaxed structure, the X-ray diffraction stick pattern of PmY3Ir3 was simulated for Cu Kα X-rays.

Top 6 peaks for 10 to 90 degrees two-theta, by intensity:
d_spacing, 2θ (°), I (rel.)
2.447, 36.72, 100
2.429, 37.01, 98
1.409, 66.32, 35
1.724, 53.12, 35
4.858, 18.26, 35
2.820, 31.73, 21

Crystal structure
Lattice parameters (Å, degrees): 5.9873 5.9873 5.9873 109.67 109.67 109.67
Atoms (fractional coordinates):
Pm1 0.0000 0.0000 0.0000
Y1 0.0000 0.5000 0.5000
Y2 0.5000 0.0000 0.5000
Y3 0.5000 0.5000 0.0000
Ir1 0.0000 0.0000 0.5000
Ir2 0.0000 0.5000 0.0000
Ir3 0.5000 0.0000 0.0000

=====

Starting from a GGA-PBE-relaxed structure, the X-ray diffraction stick pattern of VNiRhS4 was simulated for Cu Kα X-rays.

Top 6 peaks for 10 to 90 degrees two-theta, by intensity:
d_spacing, 2θ (°), I (rel.)
1.715, 53.42, 100
2.984, 29.94, 99
2.426, 37.05, 92
2.905, 30.78, 53
5.478, 16.18, 44
2.874, 31.12, 40

Crystal structure
Lattice parameters (Å, degrees): 6.8686 6.8686 6.8686 122.18 117.59 90.25
Atoms (fractional coordinates):
V1 0.5000 0.0000 0.0000
V2 0.5000 0.5000 0.5000
Ni1 0.1194 0.3694 0.7500
Ni2 0.8806 0.6306 0.2500
Rh1 0.0000 0.0000 0.0000
Rh2 0.5000 0.0000 0.5000
S1 0.2544 0.2460 0.4915
S2 0.2544 0.7629 0.0085
S3 0.2570 0.2484 0.0086
S4 0.2601 0.7516 0.5086
S5 0.7399 0.2484 0.4914
S6 0.7430 0.7516 0.9914
S7 0.7456 0.2371 0.9915
S8 0.7456 0.7540 0.5085